LiHo2MoO6: calculated XRD peak list (Cu Kα (λ = 1.5418 Å)), based on a crystal structure in Alexandria, relaxed with GGA+U.

Structure:
```
10
Lattice="5.513 0.000 0.000 2.754 4.815 0.000 0.068 3.145 4.976" Properties=species:S:1:pos:R:3 pbc="T T T"
Li 0.000 0.000 0.000
Ho 2.794 4.738 3.836
Ho 5.548 3.237 1.391
Mo 2.803 1.583 1.916
O 2.076 3.016 0.577
O 3.903 6.501 2.836
O 4.705 5.063 0.516
O 3.840 2.976 2.903
O 4.320 1.540 0.589
O 6.307 4.815 2.891
```

Most intense lines, 2θ from 10° to 90°, sorted by position:
19.40°, I = 21; 21.84°, I = 48; 22.01°, I = 47; 22.26°, I = 48; 30.09°, I = 52; 30.48°, I = 100; 32.27°, I = 92; 32.49°, I = 44; 49.69°, I = 28; 57.82°, I = 29